The following is a theoretical XRD peak list of Cs3Rb4Hg3Au2. It was derived from a structure optimized by DFT (GGA-PBE), using a wavelength of 1.5418 Å.
Kinematic intensities with the Lorentz-polarization factor, no thermal factor.

Crystal structure
a = 6.8891 Å, b = 31.1300 Å, c = 6.7385 Å
α = 90.00°, β = 90.00°, γ = 90.00°
Space group Imm2 (No. 44)
Asymmetric unit:
Cs 0.0000 0.0000 0.0000 [2 per cell]
Cs 0.0000 0.4033 0.4972 [4 per cell]
Rb 0.0000 0.1031 0.5001 [4 per cell]
Rb 0.0000 0.2219 0.0057 [4 per cell]
Hg 0.0000 0.3427 0.9963 [4 per cell]
Hg 0.0000 0.5000 0.0018 [2 per cell]
Au 0.0000 0.1134 0.0003 [4 per cell]

Main lines, sorted by position (2θ = 10–90°):
Position (°2θ), d/Å, I (rel.), (hkl)
11.37, 7.783, 56, 0 4 0
18.42, 4.817, 100, 1 0 1
25.23, 3.530, 86, 1 6 1
25.87, 3.445, 92, 2 0 0
26.46, 3.369, 90, 0 0 2
28.88, 3.091, 45, 1 9 0
29.02, 3.077, 34, 0 9 1
37.33, 2.409, 71, 2 0 2

The following is a theoretical XRD peak list of KPrHo4S8. It was derived from a structure optimized by DFT (GGA-PBE), using a wavelength of 1.5418 Å.
Kinematic intensities with the Lorentz-polarization factor, no thermal factor.

Crystal structure
a = 8.1793 Å, b = 8.1793 Å, c = 20.5731 Å
α = 90.00°, β = 90.00°, γ = 120.00°
Space group R3m (No. 160, hexagonal axes)
Asymmetric unit:
K 0.0000 0.0000 0.0000 [3 per cell]
Pr 0.0000 0.0000 0.6336 [3 per cell]
Ho 0.0000 0.0000 0.2550 [3 per cell]
Ho 0.1725 0.3450 0.4611 [9 per cell]
S 0.0000 0.0000 0.3864 [3 per cell]
S 0.0000 0.0000 0.8613 [3 per cell]
S 0.0373 0.5187 0.3890 [9 per cell]
S 0.1733 0.3467 0.2077 [9 per cell]

Main lines, sorted by position (2θ = 10–90°):
Position (°2θ), d/Å, I (rel.), (hkl)
13.22, 6.698, 43, 1 0 1
25.03, 3.558, 48, 0 1 5
25.36, 3.512, 100, 1 1 3
25.52, 3.490, 55, 0 2 1
30.65, 2.917, 71, 0 2 4
40.18, 2.244, 38, 1 2 5
43.49, 2.081, 64, 2 0 8
44.30, 2.045, 63, 2 2 0